Diffraction record for Al2NiAsO6. The powder X-ray diffraction pattern is computed, not measured: it uses a crystal structure in Alexandria, relaxed with PBE+U and Cu Kα, 1.54184 Å.

Most intense lines, 10° ≤ 2θ ≤ 90°, in order of rising 2θ:
d/Å	two_theta	I/Imax
6.456	13.72	50
4.753	18.67	79
2.981	29.97	56
2.926	30.55	41
2.572	34.89	38
2.564	35.00	51
2.525	35.55	100
2.093	43.22	57

Lattice parameters (Å, degrees): 6.5550 6.5550 5.2438 98.94 98.94 84.28
Fractional coordinates of all 20 atoms:
Al (0.1057, 0.2901, 0.2761)
Al (0.2901, 0.1057, 0.7761)
Al (0.7099, 0.8943, 0.2239)
Al (0.8943, 0.7099, 0.7239)
Ni (0.4089, 0.5911, 0.7500)
Ni (0.5911, 0.4089, 0.2500)
As (0.2401, 0.7599, 0.2500)
As (0.7599, 0.2401, 0.7500)
O (0.0810, 0.2246, 0.5829)
O (0.1371, 0.6341, 0.9005)
O (0.2246, 0.0810, 0.0829)
O (0.2883, 0.4931, 0.3578)
O (0.3659, 0.8629, 0.5995)
O (0.4931, 0.2883, 0.8578)
O (0.5069, 0.7117, 0.1422)
O (0.6341, 0.1371, 0.4005)
O (0.7117, 0.5069, 0.6422)
O (0.7754, 0.9190, 0.9171)
O (0.8629, 0.3659, 0.0995)
O (0.9190, 0.7754, 0.4171)